The following is a computed powder X-ray diffraction pattern of Ho6Hg6Pb. It was derived from a PBE-relaxed structure, using copper Kα.

The 10 most intense peaks (2θ from 10° to 80°), by intensity:
2θ (°)	d (Å)	Rel. int.	index
37.47	2.400	100	2 0 2
33.46	2.678	66	1 1 2
33.09	2.708	60	2 0 0
34.57	2.595	35	0 0 4
59.10	1.563	33	2 2 0
70.31	1.339	27	2 2 4
28.55	3.126	27	1 1 0
61.24	1.514	26	1 1 6
48.60	1.873	21	2 0 4
30.67	2.915	20	1 0 3

Lattice parameters (Å, degrees): 6.2527 6.2527 10.3784 90.00 90.00 120.00
Element x y z (fractional)
Ho1 0.0000 0.0000 0.1759
Ho2 0.0000 0.0000 0.8241
Ho3 0.3333 0.6667 0.0000
Ho4 0.3333 0.6667 0.5000
Ho5 0.6667 0.3333 0.0000
Ho6 0.6667 0.3333 0.5000
Hg1 0.0000 0.5000 0.2496
Hg2 0.0000 0.5000 0.7504
Hg3 0.5000 0.0000 0.2496
Hg4 0.5000 0.0000 0.7504
Hg5 0.5000 0.5000 0.2496
Hg6 0.5000 0.5000 0.7504
Pb1 0.0000 0.0000 0.5000